Theoretical powder diffraction line list of Tb2Pm6Y5 for CuKα, from the PBE geometry in Alexandria.

Structural model:
abc: 11.737 20.595 3.638
angles: 90.00 90.00 90.00
Positions (direct):
Tb 0.168 0.213 0.000
Tb 0.332 0.713 0.000
Tb 0.668 0.287 0.000
Tb 0.832 0.787 0.000
Pm 0.062 0.922 0.000
Pm 0.080 0.635 0.000
Pm 0.173 0.367 0.500
Pm 0.327 0.867 0.500
Pm 0.420 0.135 0.000
Pm 0.438 0.422 0.000
Pm 0.562 0.578 0.000
Pm 0.580 0.865 0.000
Pm 0.673 0.133 0.500
Pm 0.827 0.633 0.500
Pm 0.920 0.365 0.000
Pm 0.938 0.078 0.000
Y 0.000 0.500 0.500
Y 0.092 0.776 0.500
Y 0.198 0.057 0.500
Y 0.302 0.557 0.500
Y 0.408 0.276 0.500
Y 0.500 0.000 0.500
Y 0.592 0.724 0.500
Y 0.698 0.443 0.500
Y 0.802 0.943 0.500
Y 0.908 0.224 0.500

Peak list (6 most intense, 10 to 80 degrees two-theta, in order of falling intensity)
| 2θ (°) | d_spacing | I_rel |
| --- | --- | --- |
| 31.7 | 2.819 | 100 |
| 31.3 | 2.854 | 60 |
| 30.8 | 2.905 | 57 |
| 31.1 | 2.880 | 46 |
| 33.8 | 2.651 | 33 |
| 27.1 | 3.293 | 33 |

***

Theoretical powder diffraction line list of TcO2F3 for CuKα, from the PBE geometry in Alexandria.

Structural model:
abc: 6.191 6.191 6.820
angles: 92.97 92.97 124.02
Positions (direct):
Tc 0.164 0.836 0.750
Tc 0.836 0.164 0.250
O 0.164 0.310 0.271
O 0.310 0.164 0.771
O 0.690 0.836 0.229
O 0.836 0.690 0.729
F 0.188 0.808 0.476
F 0.192 0.812 0.024
F 0.335 0.665 0.750
F 0.665 0.335 0.250
F 0.808 0.188 0.976
F 0.812 0.192 0.524

Peak list (6 most intense, 10 to 80 degrees two-theta, in order of falling intensity)
| 2θ (°) | d_spacing | I_rel |
| --- | --- | --- |
| 20.7 | 4.285 | 100 |
| 20.9 | 4.256 | 85 |
| 22.8 | 3.900 | 71 |
| 29.0 | 3.082 | 56 |
| 17.4 | 5.107 | 51 |
| 16.2 | 5.467 | 36 |

***

Theoretical powder diffraction line list of Nd2Sm3Se8 for CuKα, from the PBE geometry in Alexandria.

Structural model:
abc: 8.453 8.453 7.164
angles: 107.04 107.04 60.15
Positions (direct):
Nd 0.239 0.239 0.159
Nd 0.761 0.761 0.841
Sm 0.238 0.762 0.500
Sm 0.500 0.500 0.000
Sm 0.762 0.238 0.500
Se 0.123 0.123 0.420
Se 0.141 0.613 0.086
Se 0.383 0.383 0.574
Se 0.387 0.859 0.914
Se 0.613 0.141 0.086
Se 0.617 0.617 0.426
Se 0.859 0.387 0.914
Se 0.877 0.877 0.580

Peak list (6 most intense, 10 to 80 degrees two-theta, in order of falling intensity)
| 2θ (°) | d_spacing | I_rel |
| --- | --- | --- |
| 32.7 | 2.742 | 100 |
| 43.5 | 2.080 | 68 |
| 39.4 | 2.286 | 68 |
| 25.9 | 3.445 | 56 |
| 19.6 | 4.540 | 55 |
| 33.3 | 2.689 | 46 |

***

Theoretical powder diffraction line list of Ca4FeSn8 for CuKα, from the PBE geometry in Alexandria.

Structural model:
abc: 4.569 4.709 16.160
angles: 90.00 90.00 90.00
Positions (direct):
Ca 0.000 0.000 0.000
Ca 0.000 0.500 0.488
Ca 0.500 0.000 0.181
Ca 0.500 0.500 0.692
Fe 0.500 0.000 0.387
Sn 0.000 0.000 0.326
Sn 0.000 0.000 0.667
Sn 0.000 0.500 0.158
Sn 0.000 0.500 0.852
Sn 0.500 0.000 0.544
Sn 0.500 0.000 0.842
Sn 0.500 0.500 0.023
Sn 0.500 0.500 0.324

Peak list (6 most intense, 10 to 80 degrees two-theta, in order of falling intensity)
| 2θ (°) | d_spacing | I_rel |
| --- | --- | --- |
| 32.0 | 2.801 | 100 |
| 66.8 | 1.400 | 22 |
| 38.2 | 2.355 | 20 |
| 39.4 | 2.284 | 19 |
| 33.3 | 2.693 | 17 |
| 19.6 | 4.521 | 16 |

***

Theoretical powder diffraction line list of CuH6C2SeCl for CuKα, from the PBE geometry in Alexandria.

Structural model:
abc: 7.894 6.663 11.858
angles: 90.00 106.49 90.00
Positions (direct):
Cu 0.004 0.014 0.374
Cu 0.004 0.486 0.874
Cu 0.996 0.514 0.126
Cu 0.996 0.986 0.626
H 0.208 0.505 0.437
H 0.208 0.995 0.937
H 0.256 0.018 0.164
H 0.256 0.482 0.664
H 0.369 0.507 0.357
H 0.369 0.993 0.857
H 0.370 0.704 0.462
H 0.370 0.796 0.962
H 0.375 0.717 0.678
H 0.375 0.783 0.178
H 0.413 0.548 0.802
H 0.413 0.952 0.302
H 0.587 0.048 0.698
H 0.587 0.452 0.198
H 0.625 0.217 0.822
H 0.625 0.283 0.322
H 0.630 0.204 0.038
H 0.630 0.296 0.538
H 0.631 0.007 0.143
H 0.631 0.493 0.643
H 0.744 0.518 0.336
H 0.744 0.982 0.836
H 0.792 0.005 0.063
H 0.792 0.495 0.563
C 0.288 0.600 0.398
C 0.288 0.900 0.898
C 0.316 0.605 0.723
C 0.316 0.895 0.223
C 0.684 0.105 0.777
C 0.684 0.395 0.277
C 0.712 0.100 0.102
C 0.712 0.400 0.602
Se 0.128 0.739 0.774
Se 0.128 0.761 0.274
Se 0.872 0.239 0.726
Se 0.872 0.261 0.226
Cl 0.216 0.116 0.546
Cl 0.216 0.384 0.046
Cl 0.784 0.616 0.954
Cl 0.784 0.884 0.454

Peak list (6 most intense, 10 to 80 degrees two-theta, in order of falling intensity)
| 2θ (°) | d_spacing | I_rel |
| --- | --- | --- |
| 11.7 | 7.570 | 100 |
| 15.4 | 5.749 | 30 |
| 27.8 | 3.213 | 20 |
| 25.8 | 3.448 | 19 |
| 18.0 | 4.932 | 17 |
| 21.3 | 4.162 | 17 |

***

Theoretical powder diffraction line list of Tb2Si4Ni3Rh for CuKα, from the PBE geometry in Alexandria.

Structural model:
abc: 3.975 3.975 9.705
angles: 90.00 90.00 90.00
Positions (direct):
Tb 0.000 0.500 0.242
Tb 0.500 0.000 0.758
Si 0.000 0.000 0.000
Si 0.000 0.500 0.638
Si 0.500 0.000 0.362
Si 0.500 0.500 0.000
Ni 0.000 0.500 0.877
Ni 0.500 0.000 0.123
Ni 0.500 0.500 0.500
Rh 0.000 0.000 0.500

Peak list (6 most intense, 10 to 80 degrees two-theta, in order of falling intensity)
| 2θ (°) | d_spacing | I_rel |
| --- | --- | --- |
| 37.0 | 2.432 | 100 |
| 35.8 | 2.509 | 63 |
| 45.6 | 1.988 | 44 |
| 24.2 | 3.679 | 29 |
| 59.3 | 1.558 | 29 |
| 78.6 | 1.217 | 24 |

***

Theoretical powder diffraction line list of BaThNiS4 for CuKα, from the PBE geometry in Alexandria.

Structural model:
abc: 8.437 8.437 6.425
angles: 90.00 90.00 136.93
Positions (direct):
Ba 0.105 0.895 0.750
Ba 0.895 0.105 0.250
Th 0.373 0.627 0.750
Th 0.627 0.373 0.250
Ni 0.229 0.771 0.250
Ni 0.771 0.229 0.750
S 0.000 0.500 0.000
S 0.000 0.500 0.500
S 0.087 0.913 0.250
S 0.448 0.552 0.250
S 0.500 0.000 0.000
S 0.500 0.000 0.500
S 0.552 0.448 0.750
S 0.913 0.087 0.750

Peak list (6 most intense, 10 to 80 degrees two-theta, in order of falling intensity)
| 2θ (°) | d_spacing | I_rel |
| --- | --- | --- |
| 26.3 | 3.394 | 100 |
| 40.5 | 2.230 | 66 |
| 35.0 | 2.567 | 53 |
| 27.8 | 3.213 | 52 |
| 20.7 | 4.290 | 49 |
| 28.8 | 3.097 | 48 |

***

Theoretical powder diffraction line list of ScMnPt6 for CuKα, from the PBE geometry in Alexandria.

Structural model:
abc: 3.968 3.968 7.948
angles: 90.00 90.00 90.00
Positions (direct):
Sc 0.000 0.000 0.000
Mn 0.000 0.000 0.500
Pt 0.000 0.500 0.255
Pt 0.000 0.500 0.745
Pt 0.500 0.000 0.255
Pt 0.500 0.000 0.745
Pt 0.500 0.500 0.000
Pt 0.500 0.500 0.500

Peak list (6 most intense, 10 to 80 degrees two-theta, in order of falling intensity)
| 2θ (°) | d_spacing | I_rel |
| --- | --- | --- |
| 39.3 | 2.292 | 100 |
| 45.7 | 1.985 | 49 |
| 66.6 | 1.404 | 32 |
| 22.4 | 3.970 | 16 |
| 31.9 | 2.807 | 13 |
| 51.5 | 1.775 | 7 |